Record 1
For Fe6O5F7, a PBE+U-relaxed structure gives the simulated powder X-ray diffraction pattern in this record (Cu Kα (weighted mean of Kα1 and Kα2)).
Kinematic intensities with the Lorentz-polarization factor, no thermal factor.

Atomic structure:
Lattice parameters (Å, degrees): 5.6904 5.7023 7.2501 73.49 73.41 74.92
Space group P1 (No. 1)
Symmetry-distinct sites (fractional):
Fe 0.0000 0.0000 0.0000 x1
Fe 0.0046 0.0052 0.4920 x1
Fe 0.3384 0.3302 0.6577 x1
Fe 0.3853 0.3282 0.1637 x1
Fe 0.6572 0.6520 0.8230 x1
Fe 0.6821 0.7022 0.3108 x1
O 0.2339 0.2265 0.4653 x1
O 0.4366 0.4303 0.8569 x1
O 0.5872 0.5756 0.1168 x1
O 0.6448 0.0342 0.1632 x1
O 0.7845 0.7740 0.5308 x1
F 0.0500 0.6232 0.1647 x1
F 0.1150 0.1048 0.1973 x1
F 0.3143 0.6979 0.4913 x1
F 0.3741 0.9728 0.8250 x1
F 0.7037 0.3086 0.4916 x1
F 0.9113 0.8968 0.7885 x1
F 0.9800 0.3716 0.8227 x1

Main lines, most intense first (2θ from 10° to 90°):
two_theta  intensity  h k l
34.41  100  0 1 -2
25.71  97  1 -1 0
27.23  92  1 1 2
52.88  72  2 -2 0
51.11  31  1 -2 2
51.24  31  -2 1 2
66.12  30  -1 2 4
59.35  17  2 2 -2
37.80  16  0 2 2
39.95  16  0 0 3

***

Record 2
For Fe5O3F7, a PBE+U-relaxed structure gives the simulated powder X-ray diffraction pattern in this record (Cu Kα (weighted mean of Kα1 and Kα2)).
Kinematic intensities with the Lorentz-polarization factor, no thermal factor.

Atomic structure:
Lattice parameters (Å, degrees): 4.8343 4.8249 16.3625 90.00 106.99 90.00
Space group Pc (No. 7)
Symmetry-distinct sites (fractional):
Fe 0.0000 0.2243 0.0000 x2
Fe 0.1738 0.2724 0.1945 x2
Fe 0.4470 0.2293 0.4017 x2
Fe 0.6519 0.2401 0.6078 x2
Fe 0.8199 0.2545 0.8022 x2
O 0.7455 0.0755 0.8982 x2
O 0.9223 0.4406 0.7111 x2
O 0.9379 0.0707 0.1007 x2
F 0.1183 0.0522 0.2976 x2
F 0.1276 0.4503 0.9035 x2
F 0.3144 0.4532 0.0996 x2
F 0.3297 0.0430 0.5031 x2
F 0.5090 0.4487 0.2957 x2
F 0.5166 0.0344 0.7099 x2
F 0.7356 0.4491 0.5006 x2

Main lines, most intense first (2θ from 10° to 90°):
two_theta  intensity  h k l
26.09  100  1 1 -1
34.12  39  0 1 5
51.46  32  2 1 -7
51.34  29  1 2 4
53.68  18  2 2 -2
65.22  16  0 3 5
34.18  14  1 0 -6
38.99  10  1 1 4
59.03  9  0 0 10
39.09  9  1 1 -6

***

Record 3
For Fe3O2F4, a PBE+U-relaxed structure gives the simulated powder X-ray diffraction pattern in this record (Cu Kα (weighted mean of Kα1 and Kα2)).
Kinematic intensities with the Lorentz-polarization factor, no thermal factor.

Atomic structure:
Lattice parameters (Å, degrees): 6.6300 7.0383 9.2798 90.00 90.54 90.00
Space group C2/m (No. 12)
Symmetry-distinct sites (fractional):
Fe 0.0000 0.0000 0.0000 x2
Fe 0.0000 0.5000 0.5000 x2
Fe 0.0128 0.0000 0.6573 x4
Fe 0.0260 0.5000 0.1646 x4
O 0.1690 0.0000 0.8320 x4
O 0.2024 0.0000 0.4961 x4
F 0.0000 0.2922 0.0000 x4
F 0.0039 0.3016 0.3398 x8
F 0.2103 0.0000 0.1664 x4

Main lines, most intense first (2θ from 10° to 90°):
two_theta  intensity  h k l
25.31  100  0 2 0
26.90  95  2 0 0
34.33  52  1 1 -3
34.55  50  1 1 3
50.66  33  1 3 -3
50.83  33  1 3 3
52.76  28  3 1 3
52.29  25  3 1 -3
51.97  22  0 4 0
65.60  22  3 3 3

***

Record 4
For Fe2O3F, a PBE+U-relaxed structure gives the simulated powder X-ray diffraction pattern in this record (Cu Kα (weighted mean of Kα1 and Kα2)).
Kinematic intensities with the Lorentz-polarization factor, no thermal factor.

Atomic structure:
Lattice parameters (Å, degrees): 15.0325 6.3913 6.8874 90.00 90.00 90.00
Space group Amm2 (No. 38)
Symmetry-distinct sites (fractional):
Fe 0.0000 0.0000 0.0000 x2
Fe 0.0997 0.0000 0.5370 x4
Fe 0.1992 0.0000 0.0017 x4
Fe 0.2999 0.0000 0.5427 x4
Fe 0.3994 0.0000 0.0140 x4
Fe 0.5000 0.0000 0.4800 x2
O 0.0000 0.1924 0.5173 x4
O 0.1000 0.0000 0.8265 x4
O 0.1992 0.1927 0.5219 x8
O 0.3020 0.0000 0.8322 x4
O 0.3991 0.1933 0.5116 x8
O 0.5000 0.0000 0.1899 x2
F 0.0989 0.0000 0.2084 x4
F 0.2969 0.0000 0.2123 x4
F 0.5000 0.0000 0.8122 x2

Main lines, most intense first (2θ from 10° to 90°):
two_theta  intensity  h k l
25.87  100  0 0 2
35.48  98  5 1 1
27.92  93  0 2 0
52.13  58  5 1 3
54.44  53  5 3 1
67.60  38  5 3 3
38.43  18  0 2 2
39.80  16  5 0 2
61.71  16  10 0 0
53.20  15  0 0 4